# SbHO3
Theoretical X-ray diffraction stick pattern, copper Kα. Input: a structure optimized by DFT (GGA-PBE).
Intensities are scaled so that the largest is 1000.

Cell and atoms:
```
data_SbHO3
_space_group_name_H-M_alt 'I 41/a m d'
_space_group_IT_number 141
_cell_length_a 7.629
_cell_length_b 7.629
_cell_length_c 10.028
_cell_angle_alpha 90.00
_cell_angle_beta 90.00
_cell_angle_gamma 90.00
loop_
_space_group_symop_operation_xyz
'x,y,z'
'-x,-y,-z'
'-y+1/4,x+3/4,z+1/4'
'y+1/4,-x+3/4,-z+1/4'
'-x+1/2,-y,z+1/2'
'x+1/2,y,-z+1/2'
'y+1/4,-x+1/4,z+3/4'
'-y+1/4,x+1/4,-z+3/4'
'x,-y,-z'
'-x,y,z'
'-y+1/4,-x+1/4,-z+3/4'
'y+1/4,x+1/4,z+3/4'
'-x+1/2,y,-z+1/2'
'x+1/2,-y,z+1/2'
'y+1/4,x+3/4,-z+1/4'
'-y+1/4,-x+3/4,z+1/4'
'x+1/2,y+1/2,z+1/2'
'-x+1/2,-y+1/2,-z+1/2'
'-y+3/4,x+1/4,z+3/4'
'y+3/4,-x+1/4,-z+3/4'
'-x,-y+1/2,z'
'x,y+1/2,-z'
'y+3/4,-x+3/4,z+1/4'
'-y+3/4,x+3/4,-z+1/4'
'x+1/2,-y+1/2,-z+1/2'
'-x+1/2,y+1/2,z+1/2'
'-y+3/4,-x+3/4,-z+1/4'
'y+3/4,x+3/4,z+1/4'
'-x,y+1/2,-z'
'x,-y+1/2,z'
'y+3/4,x+1/4,-z+3/4'
'-y+3/4,-x+1/4,z+3/4'
loop_
_atom_site_label
_atom_site_type_symbol
_atom_site_fract_x
_atom_site_fract_y
_atom_site_fract_z
Sb1 Sb 0.000 0.000 0.000
H1 H 0.000 0.250 0.183
O1 O 0.000 0.250 0.086
O2 O 0.188 0.062 0.875
```

Main lines, in order of rising 2θ (10° ≤ 2θ ≤ 80°):
14.6 deg, I 1000
27.6 deg, I 341
29.2 deg, I 121
29.4 deg, I 507
49.6 deg, I 165
57.0 deg, I 153

# AgSnS4
Theoretical X-ray diffraction stick pattern, copper Kα. Input: a structure optimized by DFT (GGA-PBE).
Intensities are scaled so that the largest is 1000.

Cell and atoms:
```
data_AgSnS4
_space_group_name_H-M_alt 'C m c m'
_space_group_IT_number 63
_space_group_name_Hall '-C 2c 2'
_cell_length_a 7.308
_cell_length_b 7.330
_cell_length_c 12.053
_cell_angle_alpha 90.00
_cell_angle_beta 90.00
_cell_angle_gamma 90.00
loop_
_atom_site_label
_atom_site_type_symbol
_atom_site_fract_x
_atom_site_fract_y
_atom_site_fract_z
Ag1 Ag 0.000 0.113 0.250
Sn1 Sn 0.000 0.398 0.750
S1 S 0.000 0.373 0.526
S2 S 0.245 0.139 0.750
```

Main lines, in order of rising 2θ (10° ≤ 2θ ≤ 80°):
14.7 deg, I 1000
24.4 deg, I 308
29.6 deg, I 424
35.5 deg, I 762
41.5 deg, I 364
51.8 deg, I 312

# CeSm3Ge2
Theoretical X-ray diffraction stick pattern, copper Kα. Input: a structure optimized by DFT (GGA-PBE).
Intensities are scaled so that the largest is 1000.

Cell and atoms:
```
data_CeSm3Ge2
_space_group_name_H-M_alt 'P -4 m 2'
_space_group_IT_number 115
_cell_length_a 4.397
_cell_length_b 4.397
_cell_length_c 8.325
_cell_angle_alpha 90.00
_cell_angle_beta 90.00
_cell_angle_gamma 90.00
loop_
_space_group_symop_operation_xyz
'x,y,z'
'y,-x,-z'
'-x,-y,z'
'-y,x,-z'
'-x,y,z'
'-y,-x,-z'
'x,-y,z'
'y,x,-z'
loop_
_atom_site_label
_atom_site_type_symbol
_atom_site_fract_x
_atom_site_fract_y
_atom_site_fract_z
Ce1 Ce 0.000 0.000 0.000
Sm1 Sm 0.000 0.500 0.358
Sm2 Sm 0.500 0.500 0.000
Ge1 Ge 0.000 0.500 0.725
```

Main lines, in order of rising 2θ (10° ≤ 2θ ≤ 80°):
29.5 deg, I 266
30.7 deg, I 1000
32.3 deg, I 341
36.1 deg, I 634
41.1 deg, I 494
53.1 deg, I 332

# Sn
Theoretical X-ray diffraction stick pattern, copper Kα. Input: a structure optimized by DFT (GGA-PBE).
Intensities are scaled so that the largest is 1000.

Cell and atoms:
```
data_Sn
_space_group_name_H-M_alt 'I 4/m m m'
_space_group_IT_number 139
_space_group_name_Hall '-I 4 2'
_cell_length_a 8.109
_cell_length_b 8.109
_cell_length_c 4.701
_cell_angle_alpha 90.00
_cell_angle_beta 90.00
_cell_angle_gamma 90.00
loop_
_atom_site_label
_atom_site_type_symbol
_atom_site_fract_x
_atom_site_fract_y
_atom_site_fract_z
Sn1 Sn 0.178 0.178 0.000
```

Main lines, in order of rising 2θ (10° ≤ 2θ ≤ 80°):
21.9 deg, I 1000
31.2 deg, I 242
38.3 deg, I 159
38.4 deg, I 600
44.6 deg, I 162
44.7 deg, I 317

# Ge2Te2IrSe2
Theoretical X-ray diffraction stick pattern, copper Kα. Input: a structure optimized by DFT (GGA-PBE).
Intensities are scaled so that the largest is 1000.

Cell and atoms:
```
data_Ge2Te2IrSe2
_space_group_name_H-M_alt 'P -1'
_space_group_IT_number 2
_cell_length_a 3.864
_cell_length_b 6.036
_cell_length_c 8.705
_cell_angle_alpha 99.84
_cell_angle_beta 102.52
_cell_angle_gamma 108.66
loop_
_space_group_symop_operation_xyz
'x,y,z'
'-x,-y,-z'
loop_
_atom_site_label
_atom_site_type_symbol
_atom_site_fract_x
_atom_site_fract_y
_atom_site_fract_z
Ge1 Ge 0.041 0.267 0.313
Te1 Te 0.284 0.745 0.318
Ir1 Ir 0.000 0.000 0.500
Se1 Se 0.424 0.222 0.119
```

Main lines, in order of rising 2θ (10° ≤ 2θ ≤ 80°):
10.8 deg, I 1000
23.4 deg, I 658
30.5 deg, I 684
30.7 deg, I 685
34.1 deg, I 332
46.4 deg, I 382

# Mg2WCl2
Theoretical X-ray diffraction stick pattern, copper Kα. Input: a structure optimized by DFT (GGA-PBE).
Intensities are scaled so that the largest is 1000.

Cell and atoms:
```
data_Mg2WCl2
_space_group_name_H-M_alt 'I 4/m m m'
_space_group_IT_number 139
_space_group_name_Hall '-I 4 2'
_cell_length_a 5.454
_cell_length_b 5.454
_cell_length_c 7.596
_cell_angle_alpha 90.00
_cell_angle_beta 90.00
_cell_angle_gamma 90.00
loop_
_atom_site_label
_atom_site_type_symbol
_atom_site_fract_x
_atom_site_fract_y
_atom_site_fract_z
Mg1 Mg 0.000 0.500 0.250
W1 W 0.000 0.000 0.000
Cl1 Cl 0.000 0.000 0.311
```

Main lines, in order of rising 2θ (10° ≤ 2θ ≤ 80°):
20.0 deg, I 1000
23.1 deg, I 652
32.8 deg, I 595
33.1 deg, I 408
39.2 deg, I 472
52.1 deg, I 407

# CaTlPO2
Theoretical X-ray diffraction stick pattern, copper Kα. Input: a structure optimized by DFT (GGA-PBE).
Intensities are scaled so that the largest is 1000.

Cell and atoms:
```
data_CaTlPO2
_space_group_name_H-M_alt 'P 4/m m m'
_space_group_IT_number 123
_space_group_name_Hall '-P 4 2'
_cell_length_a 4.355
_cell_length_b 4.355
_cell_length_c 5.891
_cell_angle_alpha 90.00
_cell_angle_beta 90.00
_cell_angle_gamma 90.00
loop_
_atom_site_label
_atom_site_type_symbol
_atom_site_fract_x
_atom_site_fract_y
_atom_site_fract_z
Ca1 Ca 0.000 0.000 0.000
Tl1 Tl 0.500 0.500 0.500
P1 P 0.000 0.000 0.500
O1 O 0.000 0.500 0.000
```

Main lines, in order of rising 2θ (10° ≤ 2θ ≤ 80°):
15.0 deg, I 428
25.4 deg, I 1000
29.0 deg, I 465
30.3 deg, I 345
32.8 deg, I 582
49.3 deg, I 342

# CeMg2Zn9
Theoretical X-ray diffraction stick pattern, copper Kα. Input: a structure optimized by DFT (GGA-PBE).
Intensities are scaled so that the largest is 1000.

Cell and atoms:
```
data_CeMg2Zn9
_space_group_name_H-M_alt 'P 6/m m m'
_space_group_IT_number 191
_space_group_name_Hall '-P 6 2'
_cell_length_a 9.1979
_cell_length_b 9.1979
_cell_length_c 2.9174
_cell_angle_alpha 90.00
_cell_angle_beta 90.00
_cell_angle_gamma 120.00
loop_
_atom_site_label
_atom_site_type_symbol
_atom_site_fract_x
_atom_site_fract_y
_atom_site_fract_z
Ce1 Ce 0.0000 0.0000 0.0000
Mg1 Mg 0.3333 0.6667 0.0000
Zn1 Zn 0.0000 0.5000 0.0000
Zn2 Zn 0.1763 0.3527 0.5000
```

Main lines, in order of rising 2θ (10° ≤ 2θ ≤ 80°):
36.5 deg, I 243
38.2 deg, I 938
39.2 deg, I 1000
55.9 deg, I 287
70.4 deg, I 272
77.5 deg, I 246

# Tl6AuSe3
Theoretical X-ray diffraction stick pattern, copper Kα. Input: a structure optimized by DFT (GGA-PBE).
Intensities are scaled so that the largest is 1000.

Cell and atoms:
```
data_Tl6AuSe3
_space_group_name_H-M_alt 'P 1 21/m 1'
_space_group_IT_number 11
_cell_length_a 12.251
_cell_length_b 4.357
_cell_length_c 12.323
_cell_angle_alpha 90.00
_cell_angle_beta 110.47
_cell_angle_gamma 90.00
loop_
_space_group_symop_operation_xyz
'x,y,z'
'-x,-y,-z'
'-x,y+1/2,-z'
'x,-y+1/2,z'
loop_
_atom_site_label
_atom_site_type_symbol
_atom_site_fract_x
_atom_site_fract_y
_atom_site_fract_z
Tl1 Tl 0.083 0.250 0.273
Tl2 Tl 0.117 0.250 0.949
Tl3 Tl 0.138 0.750 0.533
Tl4 Tl 0.327 0.250 0.748
Tl5 Tl 0.362 0.750 0.015
Tl6 Tl 0.401 0.750 0.352
Au1 Au 0.070 0.250 0.686
Se1 Se 0.151 0.750 0.127
Se2 Se 0.295 0.250 0.485
Se3 Se 0.494 0.250 0.182
```

Main lines, in order of rising 2θ (10° ≤ 2θ ≤ 80°):
21.8 deg, I 207
28.4 deg, I 523
30.8 deg, I 1000
31.2 deg, I 226
37.5 deg, I 232
41.5 deg, I 349

# AcSc2Tl3Te6
Theoretical X-ray diffraction stick pattern, copper Kα. Input: a structure optimized by DFT (GGA-PBE).
Intensities are scaled so that the largest is 1000.

Cell and atoms:
```
data_AcSc2Tl3Te6
_space_group_name_H-M_alt 'C 1 2/m 1'
_space_group_IT_number 12
_cell_length_a 7.734
_cell_length_b 13.326
_cell_length_c 8.532
_cell_angle_alpha 90.00
_cell_angle_beta 107.57
_cell_angle_gamma 90.00
loop_
_space_group_symop_operation_xyz
'x,y,z'
'-x,-y,-z'
'-x,y,-z'
'x,-y,z'
'x+1/2,y+1/2,z'
'-x+1/2,-y+1/2,-z'
'-x+1/2,y+1/2,-z'
'x+1/2,-y+1/2,z'
loop_
_atom_site_label
_atom_site_type_symbol
_atom_site_fract_x
_atom_site_fract_y
_atom_site_fract_z
Ac1 Ac 0.000 0.000 0.000
Sc1 Sc 0.000 0.332 0.000
Tl1 Tl 0.000 0.156 0.500
Tl2 Tl 0.000 0.500 0.500
Te1 Te 0.203 0.500 0.204
Te2 Te 0.246 0.318 0.787
```

Main lines, in order of rising 2θ (10° ≤ 2θ ≤ 80°):
27.4 deg, I 1000
29.5 deg, I 107
37.6 deg, I 372
40.5 deg, I 229
40.6 deg, I 110
49.6 deg, I 120

# NbPd2PtRh2
Theoretical X-ray diffraction stick pattern, copper Kα. Input: a structure optimized by DFT (GGA-PBE).
Intensities are scaled so that the largest is 1000.

Cell and atoms:
```
data_NbPd2PtRh2
_space_group_name_H-M_alt 'P 1 21/m 1'
_space_group_IT_number 11
_cell_length_a 5.207
_cell_length_b 5.418
_cell_length_c 6.802
_cell_angle_alpha 90.00
_cell_angle_beta 98.27
_cell_angle_gamma 90.00
loop_
_space_group_symop_operation_xyz
'x,y,z'
'-x,-y,-z'
'-x,y+1/2,-z'
'x,-y+1/2,z'
loop_
_atom_site_label
_atom_site_type_symbol
_atom_site_fract_x
_atom_site_fract_y
_atom_site_fract_z
Nb1 Nb 0.211 0.250 0.185
Pd1 Pd 0.316 0.003 0.816
Pt1 Pt 0.165 0.750 0.132
Rh1 Rh 0.000 0.250 0.496
Rh2 Rh 0.495 0.750 0.491
```

Main lines, in order of rising 2θ (10° ≤ 2θ ≤ 80°):
39.0 deg, I 1000
39.2 deg, I 948
40.2 deg, I 797
40.8 deg, I 274
40.9 deg, I 845
48.0 deg, I 470

# Pm3Ho3Sc2
Theoretical X-ray diffraction stick pattern, copper Kα. Input: a structure optimized by DFT (GGA-PBE).
Intensities are scaled so that the largest is 1000.

Cell and atoms:
```
data_Pm3Ho3Sc2
_space_group_name_H-M_alt 'P m m m'
_space_group_IT_number 47
_cell_length_a 4.967
_cell_length_b 4.999
_cell_length_c 9.811
_cell_angle_alpha 90.00
_cell_angle_beta 90.00
_cell_angle_gamma 90.00
loop_
_space_group_symop_operation_xyz
'x,y,z'
'-x,-y,-z'
'-x,-y,z'
'x,y,-z'
'x,-y,-z'
'-x,y,z'
'-x,y,-z'
'x,-y,z'
loop_
_atom_site_label
_atom_site_type_symbol
_atom_site_fract_x
_atom_site_fract_y
_atom_site_fract_z
Pm1 Pm 0.000 0.000 0.000
Pm2 Pm 0.000 0.000 0.500
Pm3 Pm 0.500 0.500 0.000
Ho1 Ho 0.000 0.500 0.252
Ho2 Ho 0.500 0.500 0.500
Sc1 Sc 0.500 0.000 0.252
```

Main lines, in order of rising 2θ (10° ≤ 2θ ≤ 80°):
31.3 deg, I 1000
35.9 deg, I 172
36.2 deg, I 169
36.6 deg, I 163
61.7 deg, I 142
62.0 deg, I 140

# CaIn4Cl6
Theoretical X-ray diffraction stick pattern, copper Kα. Input: a structure optimized by DFT (GGA-PBE).
Intensities are scaled so that the largest is 1000.

Cell and atoms:
```
data_CaIn4Cl6
_space_group_name_H-M_alt 'C 1 c 1'
_space_group_IT_number 9
_cell_length_a 12.406
_cell_length_b 8.958
_cell_length_c 14.031
_cell_angle_alpha 90.00
_cell_angle_beta 102.89
_cell_angle_gamma 90.00
loop_
_space_group_symop_operation_xyz
'x,y,z'
'x,-y,z+1/2'
'x+1/2,y+1/2,z'
'x+1/2,-y+1/2,z+1/2'
loop_
_atom_site_label
_atom_site_type_symbol
_atom_site_fract_x
_atom_site_fract_y
_atom_site_fract_z
Ca1 Ca 0.000 0.195 0.000
In1 In 0.159 0.273 0.302
In2 In 0.211 0.230 0.572
In3 In 0.397 0.279 0.883
In4 In 0.456 0.215 0.190
Cl1 Cl 0.040 0.038 0.847
Cl2 Cl 0.192 0.137 0.125
Cl3 Cl 0.212 0.395 0.747
Cl4 Cl 0.336 0.491 0.515
Cl5 Cl 0.396 0.110 0.366
Cl6 Cl 0.438 0.148 0.648
```

Main lines, in order of rising 2θ (10° ≤ 2θ ≤ 80°):
19.8 deg, I 887
23.8 deg, I 1000
24.5 deg, I 945
29.5 deg, I 488
33.7 deg, I 774
37.6 deg, I 668